Entry 1:
Rb5Hf2Te6: calculated XRD peak list (Cu Kα (weighted mean of Kα1 and Kα2)), based on a GGA-PBE-relaxed structure.
Kinematic intensities with the Lorentz-polarization factor, no thermal factor.

Crystal structure
```
Rb5Hf2Te6
1.0
7.311 -4.616 0.000
7.311 4.616 0.000
-4.181 0.000 18.700
Rb Hf Te
10 4 12
direct
0.142 0.858 0.750
0.186 0.705 0.001
0.228 0.449 0.269
0.295 0.814 0.499
0.449 0.228 0.769
0.551 0.772 0.231
0.705 0.186 0.501
0.772 0.551 0.731
0.814 0.295 0.999
0.858 0.142 0.250
0.131 0.412 0.569
0.412 0.131 0.069
0.588 0.869 0.931
0.869 0.588 0.431
0.097 0.181 0.638
0.165 0.275 0.425
0.181 0.097 0.138
0.275 0.165 0.925
0.406 0.486 0.627
0.486 0.406 0.127
0.514 0.594 0.873
0.594 0.514 0.373
0.725 0.835 0.075
0.819 0.903 0.862
0.835 0.725 0.575
0.903 0.819 0.362
```

Peak list (10 most intense, 2θ from 15° to 90°, low angle first)
2θ (°)	Rel. int.
22.44	100
23.01	97
23.99	89
24.73	71
27.15	80
28.65	66
32.20	63
34.73	87
36.90	97
37.78	54

Entry 2:
Rb2Hf2Te5: calculated XRD peak list (Cu Kα (weighted mean of Kα1 and Kα2)), based on a GGA-PBE-relaxed structure.
Kinematic intensities with the Lorentz-polarization factor, no thermal factor.

Crystal structure
```
Rb2Hf2Te5
1.0
7.938 -2.833 0.000
7.938 2.833 0.000
-1.575 0.000 8.936
Rb Hf Te
2 2 5
direct
0.099 0.099 0.320
0.901 0.901 0.680
0.348 0.348 0.111
0.652 0.652 0.889
0.176 0.176 0.950
0.367 0.367 0.405
0.500 0.500 0.000
0.633 0.633 0.595
0.824 0.824 0.050
```

Peak list (10 most intense, 2θ from 15° to 90°, low angle first)
2θ (°)	Rel. int.
16.64	37
19.90	100
22.75	56
23.20	35
26.43	72
31.59	90
34.02	43
44.25	33
47.14	58
54.35	34